# Nd4PuBi5
Calculated X-ray diffraction stick pattern, Cu Kα (λ = 1.5418 Å). Input: the PBE geometry in Alexandria.

Crystal structure
Cell lengths 16.5590, 16.5590, 16.5590 Å; angles 164.03, 164.03, 22.66 degrees
Fractional coordinates of all 10 atoms:
1 Nd 0.1003 0.1003 0.0000
2 Nd 0.3003 0.3003 0.0000
3 Nd 0.6997 0.6997 0.0000
4 Nd 0.8997 0.8997 0.0000
5 Pu 0.5000 0.5000 0.0000
6 Bi 0.0000 0.0000 0.0000
7 Bi 0.2001 0.2001 0.0000
8 Bi 0.4010 0.4010 0.0000
9 Bi 0.5990 0.5990 0.0000
10 Bi 0.7999 0.7999 0.0000

Principal peaks in the range 2θ = 5–70°, low angle first:
2θ (°)  d [Å]  I_rel
5.4  16.236  3
23.7  3.754  3
27.4  3.251  100
39.2  2.299  79
46.3  1.960  2
48.5  1.877  29
56.6  1.626  9
56.7  1.624  5
64.0  1.454  26
64.1  1.453  13



# Rb3NdBi2Se6
Calculated X-ray diffraction stick pattern, Cu Kα (λ = 1.5418 Å). Input: the PBE geometry in Alexandria.

Crystal structure
Cell lengths 7.5652, 7.5652, 8.4114 Å; angles 98.61, 98.61, 120.00 degrees
Fractional coordinates of all 12 atoms:
1 Rb 0.0000 0.0000 0.0000
2 Rb 0.3323 0.6677 0.0000
3 Rb 0.6677 0.3323 0.0000
4 Nd 0.5000 0.5000 0.5000
5 Bi 0.1665 0.8335 0.5000
6 Bi 0.8335 0.1665 0.5000
7 Se 0.0986 0.4328 0.2983
8 Se 0.2332 0.2332 0.7020
9 Se 0.4328 0.0986 0.2983
10 Se 0.5672 0.9014 0.7017
11 Se 0.7668 0.7668 0.2980
12 Se 0.9014 0.5672 0.7017

Principal peaks in the range 2θ = 5–70°, low angle first:
2θ (°)  d [Å]  I_rel
11.0  8.025  33
24.7  3.609  10
27.9  3.203  100
35.3  2.545  13
38.2  2.355  36
41.3  2.184  37
50.6  1.804  19
57.6  1.601  11
62.9  1.477  12
67.3  1.391  16